Diffraction record for K2TmSb2O6. The PXRD pattern is theoretical, not measured: it uses a crystal structure in Alexandria, relaxed with PBE and λ = 1.5418 Å (Cu Kα).
No peak broadening, texture or thermal motion is included.

Structural model:
```
data_K2TmSb2O6
_space_group_name_H-M_alt 'C 1 2/m 1'
_space_group_IT_number 12
_cell_length_a 9.9192
_cell_length_b 6.2430
_cell_length_c 7.2457
_cell_angle_alpha 90.00
_cell_angle_beta 114.88
_cell_angle_gamma 90.00
loop_
_space_group_symop_operation_xyz
'x,y,z'
'-x,-y,-z'
'-x,y,-z'
'x,-y,z'
'x+1/2,y+1/2,z'
'-x+1/2,-y+1/2,-z'
'-x+1/2,y+1/2,-z'
'x+1/2,-y+1/2,z'
loop_
_atom_site_label
_atom_site_type_symbol
_atom_site_fract_x
_atom_site_fract_y
_atom_site_fract_z
_atom_site_occupancy
K1 K 0.1981 0.0000 0.1409 1
Tm1 Tm 0.0000 0.0000 0.5000 1
Sb1 Sb 0.0722 0.5000 0.2401 1
O1 O 0.0433 0.2536 0.7425 1
O2 O 0.2346 0.0000 0.5331 1
```

Top 10 peaks for 2θ from 10° to 90°, in order of rising 2θ:
- hkl 0 0 1, 13.47°, rel. 17
- hkl 1 1 -1, 19.23°, rel. 39
- hkl 2 0 0, 19.73°, rel. 30
- hkl 2 0 1, 28.36°, rel. 21
- hkl 1 1 -2, 28.55°, rel. 100
- hkl 3 1 -1, 30.62°, rel. 58
- hkl 1 1 2, 35.81°, rel. 16
- hkl 2 2 1, 40.72°, rel. 22
- hkl 3 3 -1, 51.93°, rel. 13
- hkl 4 2 -3, 53.24°, rel. 14